# 1
# Ba2Ti3Nb4O18
Calculated powder XRD pattern, Cu Kα (λ = 1.5418 Å). Input: a structure optimized by DFT (GGA-PBE).
Peak positions follow from Bragg's law for the DFT cell and can differ from measured ones.

Most intense lines, 10 to 80 degrees two-theta, sorted by position:
- (2 0 -2), 3.493 Å, intensity 64
- (2 1 -2), 3.303 Å, intensity 38
- (2 1 1), 3.205 Å, intensity 72
- (1 3 0), 3.170 Å, intensity 43
- (1 2 -2), 3.015 Å, intensity 100
- (3 2 1), 2.272 Å, intensity 41

Atomic structure:
abc: 10.170 10.094 7.527
angles: 90.00 111.61 90.00
Space group P2_1/c (No. 14)
Symmetry-distinct sites (fractional):
1 Ba 0.203 0.086 0.140 [4 per cell]
2 Ti 0.000 0.000 0.500 [2 per cell]
3 Ti 0.375 0.014 0.787 [4 per cell]
4 Nb 0.102 0.745 0.256 [4 per cell]
5 Nb 0.486 0.726 0.997 [4 per cell]
6 O 0.018 0.590 0.775 [4 per cell]
7 O 0.069 0.161 0.424 [4 per cell]
8 O 0.096 0.664 0.475 [4 per cell]
9 O 0.192 0.566 0.171 [4 per cell]
10 O 0.298 0.678 0.838 [4 per cell]
11 O 0.323 0.170 0.867 [4 per cell]
12 O 0.408 0.092 0.571 [4 per cell]
13 O 0.418 0.584 0.529 [4 per cell]
14 O 0.493 0.658 0.239 [4 per cell]

***

# 2
# Ba3TiNb4O15
Calculated powder XRD pattern, Cu Kα (λ = 1.5418 Å). Input: a structure optimized by DFT (GGA-PBE).
Peak positions follow from Bragg's law for the DFT cell and can differ from measured ones.

Most intense lines, 10 to 80 degrees two-theta, sorted by position:
- (1 1 -2), 3.329 Å, intensity 73
- (0 1 4), 3.105 Å, intensity 37
- (1 2 -2), 3.034 Å, intensity 31
- (1 3 -1), 2.876 Å, intensity 100
- (0 4 2), 2.856 Å, intensity 47
- (2 0 0), 2.048 Å, intensity 34

Atomic structure:
abc: 4.096 12.744 12.805
angles: 90.00 90.08 90.00
Space group Pc (No. 7)
Symmetry-distinct sites (fractional):
1 Ba 0.000 0.053 0.000 [2 per cell]
2 Ba 0.003 0.396 0.348 [2 per cell]
3 Ba 0.986 0.247 0.648 [2 per cell]
4 Ti 0.463 0.176 0.443 [2 per cell]
5 Nb 0.465 0.326 0.870 [2 per cell]
6 Nb 0.472 0.036 0.735 [2 per cell]
7 Nb 0.472 0.462 0.581 [2 per cell]
8 Nb 0.558 0.246 0.155 [2 per cell]
9 O 0.008 0.040 0.722 [2 per cell]
10 O 0.008 0.327 0.854 [2 per cell]
11 O 0.009 0.456 0.568 [2 per cell]
12 O 0.011 0.246 0.148 [2 per cell]
13 O 0.026 0.177 0.442 [2 per cell]
14 O 0.503 0.241 0.991 [2 per cell]
15 O 0.504 0.388 0.713 [2 per cell]
16 O 0.505 0.031 0.368 [2 per cell]
17 O 0.507 0.182 0.784 [2 per cell]
18 O 0.508 0.091 0.142 [2 per cell]
19 O 0.508 0.403 0.153 [2 per cell]
20 O 0.508 0.466 0.930 [2 per cell]
21 O 0.510 0.109 0.575 [2 per cell]
22 O 0.512 0.322 0.502 [2 per cell]
23 O 0.513 0.251 0.304 [2 per cell]

***

# 3
# BaTiNbO6
Calculated powder XRD pattern, Cu Kα (λ = 1.5418 Å). Input: a structure optimized by DFT (GGA-PBE).
Peak positions follow from Bragg's law for the DFT cell and can differ from measured ones.

Most intense lines, 10 to 80 degrees two-theta, sorted by position:
- (1 0 1), 3.589 Å, intensity 100
- (1 1 0), 2.691 Å, intensity 27
- (2 0 1), 2.153 Å, intensity 19
- (2 -1 2), 1.945 Å, intensity 36
- (1 0 3), 1.740 Å, intensity 10
- (3 -1 1), 1.681 Å, intensity 22

Atomic structure:
abc: 5.3816 5.3816 5.6274
angles: 90.00 90.00 120.00
Space group P312 (No. 149)
Symmetry-distinct sites (fractional):
1 Ba 0.0000 0.0000 0.0000 [1 per cell]
2 Ti 0.3333 0.6667 0.5000 [1 per cell]
3 Nb 0.6667 0.3333 0.5000 [1 per cell]
4 O 0.0050 0.4028 0.6992 [6 per cell]

***

# 4
# Ba4TiNb9O18
Calculated powder XRD pattern, Cu Kα (λ = 1.5418 Å). Input: a structure optimized by DFT (GGA-PBE).
Peak positions follow from Bragg's law for the DFT cell and can differ from measured ones.

Most intense lines, 10 to 80 degrees two-theta, sorted by position:
- (1 0 6), 2.946 Å, intensity 100
- (1 1 2), 2.896 Å, intensity 34
- (1 1 4), 2.683 Å, intensity 32
- (2 0 0), 2.106 Å, intensity 55
- (2 1 6), 1.713 Å, intensity 40
- (2 0 12), 1.473 Å, intensity 31

Atomic structure:
abc: 4.212 4.212 24.734
angles: 90.00 90.00 90.00
Space group P4/mmm (No. 123)
Symmetry-distinct sites (fractional):
1 Ba 0.000 0.000 0.078 [2 per cell]
2 Ba 0.000 0.000 0.416 [2 per cell]
3 Ti 0.500 0.500 0.000 [1 per cell]
4 Nb 0.000 0.500 0.248 [4 per cell]
5 Nb 0.500 0.500 0.165 [2 per cell]
6 Nb 0.500 0.500 0.331 [2 per cell]
7 Nb 0.500 0.500 0.500 [1 per cell]
8 O 0.000 0.000 0.249 [2 per cell]
9 O 0.000 0.500 0.000 [2 per cell]
10 O 0.000 0.500 0.163 [4 per cell]
11 O 0.000 0.500 0.335 [4 per cell]
12 O 0.000 0.500 0.500 [2 per cell]
13 O 0.500 0.500 0.079 [2 per cell]
14 O 0.500 0.500 0.419 [2 per cell]

***

# 5
# Ba7Ti2Nb4O21
Calculated powder XRD pattern, Cu Kα (λ = 1.5418 Å). Input: a structure optimized by DFT (GGA-PBE).
Peak positions follow from Bragg's law for the DFT cell and can differ from measured ones.

Most intense lines, 10 to 80 degrees two-theta, sorted by position:
- (1 0 13), 3.074 Å, intensity 100
- (1 1 0), 2.924 Å, intensity 92
- (0 2 13), 2.119 Å, intensity 54
- (2 1 13), 1.716 Å, intensity 35
- (3 0 0), 1.688 Å, intensity 18
- (2 2 0), 1.462 Å, intensity 19

Atomic structure:
abc: 5.8483 5.8483 50.2920
angles: 90.00 90.00 120.00
Space group R-3m (No. 166, hexagonal axes)
Symmetry-distinct sites (fractional):
1 Ba 0.0000 0.0000 0.0000 [3 per cell]
2 Ba 0.0000 0.0000 0.1496 [6 per cell]
3 Ba 0.0000 0.0000 0.2361 [6 per cell]
4 Ba 0.0000 0.0000 0.3816 [6 per cell]
5 Ti 0.0000 0.0000 0.0750 [6 per cell]
6 Nb 0.0000 0.0000 0.3079 [6 per cell]
7 Nb 0.0000 0.0000 0.4558 [6 per cell]
8 O 0.0000 0.5000 0.0000 [9 per cell]
9 O 0.0041 0.5020 0.3795 [18 per cell]
10 O 0.0053 0.5027 0.1396 [18 per cell]
11 O 0.0091 0.5045 0.7592 [18 per cell]

***

# 6
# BaNb3Tl4O12
Calculated powder XRD pattern, Cu Kα (λ = 1.5418 Å). Input: a structure optimized by DFT (GGA-PBE).
Peak positions follow from Bragg's law for the DFT cell and can differ from measured ones.

Most intense lines, 10 to 80 degrees two-theta, sorted by position:
- (2 2 0), 3.046 Å, intensity 100
- (2 2 2), 2.487 Å, intensity 9
- (4 0 0), 2.154 Å, intensity 28
- (4 2 2), 1.759 Å, intensity 41
- (4 4 0), 1.523 Å, intensity 18
- (6 2 0), 1.362 Å, intensity 19

Atomic structure:
abc: 8.617 8.617 8.617
angles: 90.00 90.00 90.00
Space group Im-3m (No. 229)
Symmetry-distinct sites (fractional):
1 Ba 0.000 0.000 0.000 [2 per cell]
2 Nb 0.000 0.000 0.500 [6 per cell]
3 Tl 0.250 0.250 0.250 [8 per cell]
4 O 0.000 0.000 0.281 [12 per cell]
5 O 0.000 0.250 0.500 [12 per cell]

***

# 7
# BaUNbO6
Calculated powder XRD pattern, Cu Kα (λ = 1.5418 Å). Input: a structure optimized by DFT (GGA-PBE).
Peak positions follow from Bragg's law for the DFT cell and can differ from measured ones.

Most intense lines, 10 to 80 degrees two-theta, sorted by position:
- (0 0 2), 5.661 Å, intensity 26
- (1 0 2), 3.709 Å, intensity 100
- (1 1 0), 2.833 Å, intensity 59
- (2 0 2), 2.252 Å, intensity 23
- (1 1 4), 2.003 Å, intensity 50
- (2 1 2), 1.763 Å, intensity 35

Atomic structure:
abc: 5.6685 5.6685 11.3214
angles: 90.00 90.00 120.00
Space group P-31c (No. 163)
Symmetry-distinct sites (fractional):
1 Ba 0.0000 0.0000 0.0000 [2 per cell]
2 U 0.3333 0.6667 0.2500 [2 per cell]
3 Nb 0.3333 0.6667 0.7500 [2 per cell]
4 O 0.0165 0.3897 0.6512 [12 per cell]